Calculated X-ray diffraction stick pattern of La2CeDy6 for Cu Kα (weighted mean of Kα1 and Kα2), from DFT lattice parameters and positions (GGA-PBE).

Structural model:
```
data_La2CeDy6
_chemical_formula_sum 'La2 Ce1 Dy6'
_cell_length_a 9.8456
_cell_length_b 9.8456
_cell_length_c 3.5303
_cell_angle_alpha 90.00
_cell_angle_beta 90.00
_cell_angle_gamma 120.00
_symmetry_space_group_name_H-M 'P -3'
_symmetry_Int_Tables_number 147
_symmetry_space_group_name_Hall '-P 3'
loop_
_atom_site_label
_atom_site_type_symbol
_atom_site_fract_x
_atom_site_fract_y
_atom_site_fract_z
La1 La 0.3333 0.6667 0.2650
Ce1 Ce 0.0000 0.0000 0.5000
Dy1 Dy 0.0184 0.6742 0.7719
```

Most intense lines, 2θ from 5° to 70°, in order of rising 2θ:
2θ (°)  d [Å]  Rel. int.  index
31.18  2.869  81  1 1 1
31.48  2.842  100  3 0 0
32.94  2.719  13  0 2 1
37.80  2.380  12  3 -1 1
44.89  2.019  28  4 -2 1
55.85  1.646  28  1 4 1
56.04  1.641  18  3 3 0
61.88  1.499  17  3 0 2